For TmSe3O9, a DFT-relaxed cell (GGA-PBE, Alexandria) gives the theoretical powder diffraction line list in this record (copper Kα).
Peak positions follow from Bragg's law for the DFT cell and can differ from measured ones.

Main lines, by angle (10 to 90 degrees two-theta):
13.8°, rel. 54; 17.5°, rel. 19; 19.8°, rel. 100; 22.8°, rel. 52; 25.6°, rel. 20; 26.5°, rel. 41; 28.6°, rel. 27; 30.7°, rel. 36; 33.6°, rel. 36; 46.7°, rel. 19

Cell and atoms:
Cell: 8.293 8.293 10.220 Å, 121.12 121.12 59.97°
Fractional coordinates of all 26 atoms:
Tm: 0.237 0.763 0.500
Tm: 0.763 0.237 0.000
Se: 0.019 0.257 0.797
Se: 0.257 0.019 0.297
Se: 0.303 0.385 0.641
Se: 0.385 0.303 0.141
Se: 0.716 0.766 0.247
Se: 0.766 0.716 0.747
O: 0.057 0.181 0.207
O: 0.170 0.963 0.379
O: 0.176 0.399 0.964
O: 0.181 0.057 0.707
O: 0.314 0.572 0.627
O: 0.325 0.511 0.294
O: 0.399 0.176 0.464
O: 0.511 0.325 0.794
O: 0.533 0.797 0.627
O: 0.561 0.763 0.309
O: 0.572 0.314 0.127
O: 0.595 0.927 0.155
O: 0.763 0.561 0.809
O: 0.797 0.533 0.127
O: 0.815 0.915 0.911
O: 0.915 0.815 0.411
O: 0.927 0.595 0.655
O: 0.963 0.170 0.879



For La4PbI4, a DFT-relaxed cell (GGA-PBE, Alexandria) gives the theoretical powder diffraction line list in this record (copper Kα).
Peak positions follow from Bragg's law for the DFT cell and can differ from measured ones.

Main lines, by angle (10 to 90 degrees two-theta):
18.2°, rel. 10; 31.5°, rel. 100; 32.2°, rel. 93; 45.7°, rel. 35; 56.1°, rel. 19; 56.5°, rel. 37; 57.8°, rel. 16; 65.8°, rel. 12; 67.3°, rel. 10; 75.1°, rel. 16

Cell and atoms:
Cell: 5.676 5.676 11.716 Å, 103.96 103.96 60.02°
Fractional coordinates of all 9 atoms:
La: 0.097 0.097 0.292
La: 0.303 0.303 0.907
La: 0.697 0.697 0.093
La: 0.903 0.903 0.708
Pb: 0.000 0.000 0.000
I: 0.203 0.203 0.608
I: 0.403 0.403 0.209
I: 0.597 0.597 0.791
I: 0.797 0.797 0.392



For Sm7RuBr12, a DFT-relaxed cell (GGA-PBE, Alexandria) gives the theoretical powder diffraction line list in this record (copper Kα).
Peak positions follow from Bragg's law for the DFT cell and can differ from measured ones.

Main lines, by angle (10 to 90 degrees two-theta):
10.7°, rel. 22; 11.6°, rel. 46; 29.6°, rel. 100; 41.9°, rel. 36; 42.9°, rel. 36; 53.0°, rel. 17; 61.6°, rel. 11; 69.1°, rel. 12; 70.5°, rel. 15; 78.0°, rel. 10

Cell and atoms:
Cell: 9.467 9.467 9.467 Å, 106.73 106.73 106.73°
Fractional coordinates of all 20 atoms:
Sm: 0.000 0.000 0.000
Sm: 0.192 0.482 0.399
Sm: 0.399 0.192 0.482
Sm: 0.482 0.399 0.192
Sm: 0.518 0.601 0.808
Sm: 0.601 0.808 0.518
Sm: 0.808 0.518 0.601
Ru: 0.500 0.500 0.500
Br: 0.040 0.120 0.332
Br: 0.120 0.332 0.040
Br: 0.179 0.574 0.720
Br: 0.280 0.821 0.426
Br: 0.332 0.040 0.120
Br: 0.426 0.280 0.821
Br: 0.574 0.720 0.179
Br: 0.668 0.960 0.880
Br: 0.720 0.179 0.574
Br: 0.821 0.426 0.280
Br: 0.880 0.668 0.960
Br: 0.960 0.880 0.668



For CsTaAg2Cl8, a DFT-relaxed cell (GGA-PBE, Alexandria) gives the theoretical powder diffraction line list in this record (copper Kα).
Peak positions follow from Bragg's law for the DFT cell and can differ from measured ones.

Main lines, by angle (10 to 90 degrees two-theta):
12.1°, rel. 100; 13.1°, rel. 34; 16.4°, rel. 27; 18.2°, rel. 23; 18.9°, rel. 56; 19.7°, rel. 63; 23.5°, rel. 25; 24.4°, rel. 27; 28.4°, rel. 29; 29.4°, rel. 29

Cell and atoms:
Cell: 6.329 7.691 9.198 Å, 108.34 96.26 91.18°
Fractional coordinates of all 12 atoms:
Cs: 0.000 0.000 0.000
Ta: 0.000 0.500 0.500
Ag: 0.490 0.466 0.826
Ag: 0.510 0.534 0.174
Cl: 0.097 0.494 0.254
Cl: 0.192 0.784 0.616
Cl: 0.308 0.341 0.543
Cl: 0.494 0.777 0.035
Cl: 0.506 0.223 0.965
Cl: 0.692 0.659 0.457
Cl: 0.808 0.216 0.384
Cl: 0.903 0.506 0.746



For GeBr, a DFT-relaxed cell (GGA-PBE, Alexandria) gives the theoretical powder diffraction line list in this record (copper Kα).
Peak positions follow from Bragg's law for the DFT cell and can differ from measured ones.

Main lines, by angle (10 to 90 degrees two-theta):
13.2°, rel. 36; 24.9°, rel. 100; 32.0°, rel. 20; 34.9°, rel. 32; 35.8°, rel. 17; 39.6°, rel. 26; 41.9°, rel. 30; 42.8°, rel. 25; 46.6°, rel. 17; 48.1°, rel. 16

Cell and atoms:
Cell: 4.222 13.524 6.686 Å, 90.00 90.00 90.00°
Fractional coordinates of all 12 atoms:
Ge: 0.250 0.147 0.041
Ge: 0.250 0.353 0.041
Ge: 0.250 0.750 0.168
Ge: 0.750 0.250 0.832
Ge: 0.750 0.647 0.959
Ge: 0.750 0.853 0.959
Br: 0.250 0.250 0.382
Br: 0.250 0.551 0.241
Br: 0.250 0.949 0.241
Br: 0.750 0.051 0.759
Br: 0.750 0.449 0.759
Br: 0.750 0.750 0.618



For Cs8TiSe6, a DFT-relaxed cell (GGA-PBE, Alexandria) gives the theoretical powder diffraction line list in this record (copper Kα).
Peak positions follow from Bragg's law for the DFT cell and can differ from measured ones.

Main lines, by angle (10 to 90 degrees two-theta):
21.2°, rel. 47; 22.3°, rel. 29; 23.2°, rel. 26; 25.7°, rel. 39; 26.5°, rel. 39; 26.8°, rel. 26; 28.5°, rel. 100; 29.7°, rel. 61; 30.9°, rel. 34; 35.4°, rel. 33

Cell and atoms:
Cell: 10.131 9.409 14.925 Å, 90.00 90.00 90.00°
Fractional coordinates of all 30 atoms:
Cs: 0.000 0.029 0.074
Cs: 0.000 0.138 0.618
Cs: 0.199 0.485 0.764
Cs: 0.227 0.666 0.500
Cs: 0.232 0.927 0.821
Cs: 0.268 0.073 0.321
Cs: 0.273 0.334 0.000
Cs: 0.301 0.515 0.264
Cs: 0.500 0.862 0.118
Cs: 0.500 0.971 0.574
Cs: 0.699 0.515 0.264
Cs: 0.727 0.334 0.000
Cs: 0.732 0.073 0.321
Cs: 0.768 0.927 0.821
Cs: 0.773 0.666 0.500
Cs: 0.801 0.485 0.764
Ti: 0.000 0.640 0.124
Ti: 0.500 0.360 0.624
Se: 0.000 0.198 0.858
Se: 0.000 0.389 0.160
Se: 0.000 0.771 0.668
Se: 0.000 0.772 0.264
Se: 0.196 0.701 0.038
Se: 0.304 0.299 0.538
Se: 0.500 0.228 0.764
Se: 0.500 0.229 0.168
Se: 0.500 0.611 0.660
Se: 0.500 0.802 0.358
Se: 0.696 0.299 0.538
Se: 0.804 0.701 0.038